This entry pairs a crystal structure of RbAgTe2OsSe with its simulated PXRD pattern. Radiation: Cu Kα X-rays. Structure: a structure optimized by DFT (GGA-PBE).
No peak broadening, texture or thermal motion is included.

Main lines, sorted by position (10 to 90 degrees two-theta):
hkl	2theta	Rel. int.
0 2 0	10.82	100
1 3 1	28.72	31
1 3 2	32.52	45
0 0 4	34.91	34
1 5 0	35.21	21
1 5 2	39.46	40
2 0 0	44.53	18
2 0 4	57.79	16

Cell and atoms:
```
data_RbAgTe2OsSe
_chemical_formula_sum 'Rb4 Ag4 Te8 Os4 Se4'
_space_group_name_H-M_alt 'C m c m'
_space_group_IT_number 63
_space_group_name_Hall '-C 2c 2'
_cell_length_a 4.069
_cell_length_b 16.348
_cell_length_c 10.281
_cell_angle_alpha 90.00
_cell_angle_beta 90.00
_cell_angle_gamma 90.00
loop_
_atom_site_label
_atom_site_fract_x
_atom_site_fract_y
_atom_site_fract_z
_atom_site_occupancy
Rb1 0.000 0.239 0.250 1
Ag1 0.000 0.458 0.750 1
Te1 0.000 0.391 0.514 1
Os1 0.000 0.000 0.000 1
Se1 0.000 0.062 0.750 1
```